Structure and simulated powder X-ray diffraction pattern of Tm2NpMnO8 (the PBE+U geometry in Alexandria; λ = 1.5418 Å (Cu Kα)).

Principal peaks in the range 10 to 90 degrees two-theta, in order of rising 2θ:
- 12.98°, intensity 22
- 22.89°, intensity 41
- 24.80°, intensity 96
- 26.43°, intensity 84
- 31.07°, intensity 100
- 32.80°, intensity 69
- 36.56°, intensity 45
- 46.53°, intensity 36
- 49.64°, intensity 33
- 50.20°, intensity 25
- 50.85°, intensity 38
- 61.38°, intensity 19

Crystal structure
```
Tm2NpMnO8
1.0
3.602 -3.373 0.000
3.602 3.373 0.000
-0.563 0.000 6.819
Tm Np Mn O
2 1 1 8
Cartesian
0.050 0.000 1.817
6.590 0.000 5.002
3.602 0.000 0.000
3.320 0.000 3.410
3.602 1.999 0.000
3.320 1.941 3.410
1.686 0.000 5.451
2.267 0.000 1.740
4.374 0.000 5.080
4.955 0.000 1.368
3.320 -1.941 3.410
3.602 -1.999 0.000
```